Simulated powder diffractogram of KCdInBrCl for copper Kα, from DFT lattice parameters and positions (GGA-PBE).

Largest 8 diffraction maxima, sorted by position, 2θ from 15° to 90°:
d_spacing, I_rel, (hkl)
3.448, 100, 1 1 1
3.405, 63, 2 0 -2
2.878, 67, 1 1 2
2.798, 21, 2 0 -3
2.614, 51, 1 1 -3
2.269, 54, 3 1 -1
2.194, 27, 0 2 0
2.161, 26, 1 1 -4

Cell and atoms:
Lattice parameters (Å, degrees): 7.968 4.389 9.996 90.00 101.72 90.00
Space group Cm (No. 8)
Unique sites:
K: 0.000 0.000 0.000 [2 per cell]
Cd: 0.326 0.500 0.386 [2 per cell]
In: 0.050 0.500 0.579 [2 per cell]
Br: 0.270 0.000 0.774 [2 per cell]
Cl: 0.370 0.000 0.179 [2 per cell]


Simulated powder diffractogram of Rb3Cd2Br5Cl2 for copper Kα, from DFT lattice parameters and positions (GGA-PBE).

Largest 8 diffraction maxima, sorted by position, 2θ from 15° to 90°:
d_spacing, I_rel, (hkl)
3.960, 26, 1 1 0
3.902, 46, 1 0 5
2.982, 53, 1 1 6
2.800, 100, 2 0 0
2.720, 36, 0 0 10
1.980, 35, 2 2 0
1.951, 53, 2 0 10
1.601, 27, 2 2 10

Cell and atoms:
Lattice parameters (Å, degrees): 5.600 5.600 27.199 90.00 90.00 90.00
Space group I4/mmm (No. 139)
Unique sites:
Rb: 0.000 0.000 0.000 [2 per cell]
Rb: 0.000 0.000 0.182 [4 per cell]
Cd: 0.000 0.000 0.396 [4 per cell]
Br: 0.000 0.000 0.500 [2 per cell]
Br: 0.000 0.500 0.098 [8 per cell]
Cl: 0.000 0.000 0.301 [4 per cell]


Simulated powder diffractogram of RbCdBr2Cl for copper Kα, from DFT lattice parameters and positions (GGA-PBE).

Largest 8 diffraction maxima, sorted by position, 2θ from 15° to 90°:
d_spacing, I_rel, (hkl)
3.669, 35, 1 0 2
3.072, 100, 2 1 0
3.028, 91, 2 1 -1
2.643, 41, 1 0 3
2.451, 43, 1 1 -3
2.263, 33, 3 1 -2
2.186, 36, 0 2 0
1.987, 37, 3 1 2

Cell and atoms:
Lattice parameters (Å, degrees): 8.785 4.373 8.990 90.00 100.61 90.00
Space group P2_1/m (No. 11)
Unique sites:
Rb: 0.153 0.250 0.312 [2 per cell]
Cd: 0.324 0.750 0.858 [2 per cell]
Br: 0.132 0.250 0.905 [2 per cell]
Br: 0.450 0.750 0.165 [2 per cell]
Cl: 0.219 0.750 0.578 [2 per cell]


Simulated powder diffractogram of Tl2CdBrCl3 for copper Kα, from DFT lattice parameters and positions (GGA-PBE).

Largest 8 diffraction maxima, sorted by position, 2θ from 15° to 90°:
d_spacing, I_rel, (hkl)
3.844, 100, 1 1 0
3.814, 53, 0 1 3
3.731, 81, 1 0 3
2.782, 50, 0 2 0
2.747, 65, 1 1 4
2.658, 44, 2 0 0
2.230, 43, 1 2 3
1.922, 33, 2 2 0

Cell and atoms:
Lattice parameters (Å, degrees): 5.316 5.564 15.713 90.00 90.00 90.00
Space group Immm (No. 71)
Unique sites:
Tl: 0.000 0.000 0.141 [4 per cell]
Cd: 0.000 0.000 0.500 [2 per cell]
Br: 0.000 0.500 0.500 [2 per cell]
Cl: 0.000 0.000 0.335 [4 per cell]
Cl: 0.000 0.500 0.000 [2 per cell]


Simulated powder diffractogram of Tl2CdBr3Cl for copper Kα, from DFT lattice parameters and positions (GGA-PBE).

Largest 8 diffraction maxima, sorted by position, 2θ from 15° to 90°:
d_spacing, I_rel, (hkl)
3.907, 15, 0 1 3
3.818, 100, 1 1 0
2.804, 61, 1 1 4
2.771, 33, 0 2 0
2.754, 18, 0 0 6
2.638, 29, 2 0 0
2.234, 15, 1 1 6
1.911, 22, 2 2 0

Cell and atoms:
Lattice parameters (Å, degrees): 5.276 5.542 16.525 90.00 90.00 90.00
Space group Immm (No. 71)
Unique sites:
Tl: 0.000 0.000 0.139 [4 per cell]
Cd: 0.000 0.000 0.500 [2 per cell]
Br: 0.000 0.000 0.333 [4 per cell]
Br: 0.000 0.500 0.500 [2 per cell]
Cl: 0.000 0.500 0.000 [2 per cell]


Simulated powder diffractogram of CdCoBr2 for copper Kα, from DFT lattice parameters and positions (GGA-PBE).

Largest 8 diffraction maxima, sorted by position, 2θ from 15° to 90°:
d_spacing, I_rel, (hkl)
4.224, 12, 0 0 6
2.887, 100, 1 0 4
2.732, 14, 0 1 5
2.416, 41, 1 0 7
2.266, 18, 0 1 8
1.878, 29, 0 1 11
1.873, 39, 1 1 0
1.571, 15, 0 2 4

Cell and atoms:
Lattice parameters (Å, degrees): 3.7457 3.7457 25.3439 90.00 90.00 120.00
Space group R3m (No. 160, hexagonal axes)
Unique sites:
Cd: 0.0000 0.0000 0.0000 [3 per cell]
Co: 0.0000 0.0000 0.7416 [3 per cell]
Br: 0.0000 0.0000 0.2630 [3 per cell]
Br: 0.0000 0.0000 0.4500 [3 per cell]


Simulated powder diffractogram of CrCdBr4 for copper Kα, from DFT lattice parameters and positions (GGA-PBE).

Largest 8 diffraction maxima, sorted by position, 2θ from 15° to 90°:
d_spacing, I_rel, (hkl)
3.118, 14, 1 1 -1
3.107, 34, 2 0 -1
3.047, 100, 1 1 1
2.473, 30, 2 0 -2
2.390, 39, 1 1 2
2.010, 18, 0 2 0
1.972, 30, 3 1 0
1.920, 46, 1 1 -3

Cell and atoms:
Lattice parameters (Å, degrees): 6.798 4.020 6.809 90.00 93.25 90.00
Space group P2/m (No. 10)
Unique sites:
Cr: 0.000 0.000 0.000 [1 per cell]
Cd: 0.500 0.500 0.000 [1 per cell]
Br: 0.171 0.500 0.221 [2 per cell]
Br: 0.297 0.000 0.775 [2 per cell]


Simulated powder diffractogram of CsCd5Br11 for copper Kα, from DFT lattice parameters and positions (GGA-PBE).

Largest 8 diffraction maxima, sorted by position, 2θ from 15° to 90°:
d_spacing, I_rel, (hkl)
5.300, 47, 2 0 -1
4.209, 29, 1 3 -1
4.065, 26, 2 2 0
3.378, 32, 0 2 2
2.956, 100, 2 4 0
2.921, 76, 3 3 -1
2.527, 36, 0 0 3
2.074, 27, 2 4 2

Cell and atoms:
Lattice parameters (Å, degrees): 10.835 14.908 8.459 90.00 116.38 90.00
Space group C2/m (No. 12)
Unique sites:
Cs: 0.000 0.000 0.000 [2 per cell]
Cd: 0.000 0.500 0.000 [2 per cell]
Cd: 0.228 0.143 0.625 [8 per cell]
Br: 0.000 0.000 0.500 [2 per cell]
Br: 0.079 0.215 0.316 [8 per cell]
Br: 0.111 0.500 0.383 [4 per cell]
Br: 0.200 0.373 0.035 [8 per cell]


Simulated powder diffractogram of Cs2CdBr4 for copper Kα, from DFT lattice parameters and positions (GGA-PBE).

Largest 8 diffraction maxima, sorted by position, 2θ from 15° to 90°:
d_spacing, I_rel, (hkl)
4.218, 52, 1 0 2
4.025, 96, 2 0 -2
3.561, 61, 0 2 3
3.370, 87, 0 3 1
3.201, 51, 1 1 3
3.132, 54, 0 3 2
3.118, 100, 2 2 -1
2.826, 46, 0 3 3

Cell and atoms:
Lattice parameters (Å, degrees): 8.052 10.391 16.599 90.00 117.86 90.00
Space group P2_1/c (No. 14)
Unique sites:
Cs: 0.042 0.005 0.322 [4 per cell]
Cs: 0.362 0.119 0.095 [4 per cell]
Cd: 0.332 0.720 0.080 [4 per cell]
Br: 0.120 0.666 0.423 [4 per cell]
Br: 0.248 0.697 0.707 [4 per cell]
Br: 0.298 0.030 0.574 [4 per cell]
Br: 0.326 0.191 0.868 [4 per cell]


Simulated powder diffractogram of Cs4Cd3Br10 for copper Kα, from DFT lattice parameters and positions (GGA-PBE).

Largest 8 diffraction maxima, sorted by position, 2θ from 15° to 90°:
d_spacing, I_rel, (hkl)
4.019, 41, 1 0 7
3.984, 42, 1 1 0
3.120, 69, 1 1 8
2.868, 37, 0 0 14
2.817, 100, 2 0 0
2.010, 52, 2 0 14
1.992, 36, 2 2 0
1.636, 28, 2 2 14

Cell and atoms:
Lattice parameters (Å, degrees): 5.634 5.634 40.148 90.00 90.00 90.00
Space group I4/mmm (No. 139)
Unique sites:
Cs: 0.000 0.000 0.068 [4 per cell]
Cs: 0.000 0.000 0.199 [4 per cell]
Cd: 0.000 0.000 0.359 [4 per cell]
Cd: 0.000 0.000 0.500 [2 per cell]
Br: 0.000 0.000 0.291 [4 per cell]
Br: 0.000 0.000 0.430 [4 per cell]
Br: 0.000 0.500 0.000 [4 per cell]
Br: 0.000 0.500 0.137 [8 per cell]